This entry pairs a crystal structure of Mg14MnNiO16 with its calculated X-ray powder pattern. Radiation: Cu Ka. Structure: a cell relaxed with GGA+U.
Neutral-atom scattering factors, no anomalous dispersion.

Atomic structure:
```
data_Mg14MnNiO16
_chemical_formula_sum 'Mg14 Mn1 Ni1 O16'
_space_group_name_H-M_alt 'P 4/m m m'
_space_group_IT_number 123
_space_group_name_Hall '-P 4 2'
_cell_length_a 8.5410
_cell_length_b 8.5410
_cell_length_c 4.2721
_cell_angle_alpha 90.00
_cell_angle_beta 90.00
_cell_angle_gamma 90.00
loop_
_atom_site_label
_atom_site_type_symbol
_atom_site_fract_x
_atom_site_fract_y
_atom_site_fract_z
Mg1 Mg 0.0000 0.2487 0.0000
Mg2 Mg 0.0000 0.5000 0.5000
Mg3 Mg 0.2484 0.2484 0.5000
Mg4 Mg 0.2477 0.5000 0.0000
Mn1 Mn 0.5000 0.5000 0.5000
Ni1 Ni 0.0000 0.0000 0.5000
O1 O 0.0000 0.0000 0.0000
O2 O 0.0000 0.2496 0.5000
O3 O 0.0000 0.5000 0.0000
O4 O 0.2425 0.5000 0.5000
O5 O 0.2500 0.2500 0.0000
O6 O 0.5000 0.5000 0.0000
```

Principal peaks in the range 2θ from 15° to 90°, low angle first:
| 2theta | d [Å] | Rel. int. | index |
| --- | --- | --- | --- |
| 20.80 | 4.271 | 6.0 | 2 0 0 |
| 25.54 | 3.488 | 4.5 | 1 1 1 |
| 29.58 | 3.020 | 5.0 | 2 2 0 |
| 33.17 | 2.701 | 2.7 | 3 1 0 |
| 36.44 | 2.466 | 18.2 | 2 2 1 |
| 39.47 | 2.283 | 3.1 | 3 1 1 |
| 42.32 | 2.136 | 100.0 | 0 0 2 |
| 47.61 | 1.910 | 2.5 | 2 0 2 |
| 52.48 | 1.744 | 1.8 | 2 2 2 |
| 61.40 | 1.510 | 56.4 | 4 4 0 |
| 73.55 | 1.288 | 10.2 | 6 2 1 |
| 77.40 | 1.233 | 17.0 | 4 4 2 |

***

This entry pairs a crystal structure of Mg6MnNiO8 with its calculated X-ray powder pattern. Radiation: Cu Ka. Structure: a cell relaxed with GGA+U.
Neutral-atom scattering factors, no anomalous dispersion.

Atomic structure:
```
data_Mg6MnNiO8
_chemical_formula_sum 'Mg6 Mn1 Ni1 O8'
_space_group_name_H-M_alt 'P 4/m m m'
_space_group_IT_number 123
_space_group_name_Hall '-P 4 2'
_cell_length_a 4.2908
_cell_length_b 4.2908
_cell_length_c 8.5666
_cell_angle_alpha 90.00
_cell_angle_beta 90.00
_cell_angle_gamma 90.00
loop_
_atom_site_label
_atom_site_type_symbol
_atom_site_fract_x
_atom_site_fract_y
_atom_site_fract_z
Mg1 Mg 0.0000 0.0000 0.0000
Mg2 Mg 0.0000 0.5000 0.2491
Mg3 Mg 0.5000 0.5000 0.0000
Mn1 Mn 0.0000 0.0000 0.5000
Ni1 Ni 0.5000 0.5000 0.5000
O1 O 0.0000 0.0000 0.2422
O2 O 0.0000 0.5000 0.0000
O3 O 0.0000 0.5000 0.5000
O4 O 0.5000 0.5000 0.2504
```

Principal peaks in the range 2θ from 15° to 90°, low angle first:
| 2theta | d [Å] | Rel. int. | index |
| --- | --- | --- | --- |
| 20.74 | 4.284 | 6.9 | 0 0 2 |
| 29.44 | 3.034 | 5.7 | 1 1 0 |
| 31.29 | 2.859 | 12.0 | 0 0 3 |
| 36.28 | 2.476 | 26.4 | 1 1 2 |
| 42.14 | 2.144 | 100.0 | 2 0 0 |
| 43.51 | 2.080 | 7.3 | 1 1 3 |
| 47.39 | 1.918 | 2.9 | 2 0 2 |
| 61.12 | 1.516 | 56.8 | 2 2 0 |
| 70.26 | 1.340 | 2.9 | 2 2 3 |
| 73.17 | 1.294 | 8.7 | 3 1 2 |
| 73.27 | 1.292 | 4.4 | 1 1 6 |
| 77.04 | 1.238 | 17.2 | 2 2 4 |

***

This entry pairs a crystal structure of Mg14MnNiO16 with its calculated X-ray powder pattern. Radiation: Cu Ka. Structure: a cell relaxed with GGA+U.
Neutral-atom scattering factors, no anomalous dispersion.

Atomic structure:
```
data_Mg14MnNiO16
_chemical_formula_sum 'Mg14 Mn1 Ni1 O16'
_space_group_name_H-M_alt 'P m m m'
_space_group_IT_number 47
_space_group_name_Hall '-P 2 2'
_cell_length_a 4.2725
_cell_length_b 8.5416
_cell_length_c 8.5417
_cell_angle_alpha 90.00
_cell_angle_beta 90.00
_cell_angle_gamma 90.00
loop_
_atom_site_label
_atom_site_type_symbol
_atom_site_fract_x
_atom_site_fract_y
_atom_site_fract_z
Mg1 Mg 0.0000 0.0000 0.0000
Mg2 Mg 0.0000 0.0000 0.5000
Mg3 Mg 0.0000 0.2495 0.2484
Mg4 Mg 0.5000 0.0000 0.2497
Mg5 Mg 0.5000 0.2481 0.5000
Mg6 Mg 0.5000 0.2510 0.0000
Mg7 Mg 0.5000 0.5000 0.2468
Mn1 Mn 0.0000 0.5000 0.5000
Ni1 Ni 0.0000 0.5000 0.0000
O1 O 0.0000 0.0000 0.2487
O2 O 0.0000 0.2428 0.5000
O3 O 0.0000 0.2481 0.0000
O4 O 0.0000 0.5000 0.2432
O5 O 0.5000 0.0000 0.0000
O6 O 0.5000 0.0000 0.5000
O7 O 0.5000 0.2507 0.2501
O8 O 0.5000 0.5000 0.0000
O9 O 0.5000 0.5000 0.5000
```

Principal peaks in the range 2θ from 15° to 90°, low angle first:
| 2theta | d [Å] | Rel. int. | index |
| --- | --- | --- | --- |
| 20.80 | 4.271 | 6.0 | 0 2 0 |
| 23.28 | 3.821 | 5.9 | 0 1 2 |
| 29.58 | 3.020 | 5.0 | 0 2 2 |
| 31.42 | 2.848 | 3.6 | 0 3 0 |
| 36.43 | 2.466 | 18.2 | 1 2 2 |
| 37.98 | 2.369 | 2.0 | 0 3 2 |
| 42.32 | 2.136 | 100.0 | 2 0 0 |
| 43.69 | 2.072 | 2.2 | 1 3 2 |
| 47.60 | 1.910 | 2.5 | 2 2 0 |
| 61.39 | 1.510 | 56.4 | 2 4 0 |
| 73.54 | 1.288 | 10.2 | 1 6 2 |
| 77.40 | 1.233 | 17.0 | 2 4 4 |

***

Number 3 is which compound? Mg14MnNiO16